(1)
Starting from a PBE-relaxed structure, the powder diffraction line list of UGaCo5As2 was computed for λ = 1.5418 Å (Cu Kα).
Peak positions follow from Bragg's law for the DFT cell and can differ from measured ones.

Structural model:
```
9
Lattice="3.9061 0.0000 0.0000 0.0000 3.9061 0.0000 0.0000 0.0000 8.2001" Properties=species:S:1:pos:R:3 pbc="T T T"
U 0.0000 0.0000 0.0000
Ga 0.0000 0.0000 4.1001
Co 0.0000 1.9531 2.5870
Co 0.0000 1.9531 5.6131
Co 1.9531 0.0000 2.5870
Co 1.9531 0.0000 5.6131
Co 1.9531 1.9531 4.1001
As 1.9531 1.9531 1.3299
As 1.9531 1.9531 6.8702
```

Main lines, by angle (2θ = 10–90°):
- 31.6 deg, intensity 79.8, hkl 1 0 2
- 34.3 deg, intensity 50.6, hkl 1 1 1
- 39.3 deg, intensity 100.0, hkl 1 1 2
- 40.3 deg, intensity 60.2, hkl 1 0 3
- 46.5 deg, intensity 84.1, hkl 2 0 0
- 63.2 deg, intensity 32.2, hkl 2 1 3



(2)
Starting from a PBE-relaxed structure, the powder diffraction line list of Np2Co4GeAs3 was computed for λ = 1.5418 Å (Cu Kα).
Peak positions follow from Bragg's law for the DFT cell and can differ from measured ones.

Structural model:
```
10
Lattice="4.0599 0.0000 0.0000 0.0000 4.0599 0.0000 0.0000 0.0000 9.4862" Properties=species:S:1:pos:R:3 pbc="T T T"
Np 0.0000 2.0299 2.3596
Np 2.0299 0.0000 7.1267
Co 0.0000 0.0000 0.0000
Co 0.0000 2.0299 5.9211
Co 2.0299 0.0000 3.5651
Co 2.0299 2.0299 0.0000
Ge 0.0000 0.0000 4.7431
As 0.0000 2.0299 8.2272
As 2.0299 0.0000 1.2590
As 2.0299 2.0299 4.7431
```

Main lines, by angle (2θ = 10–90°):
- 23.8 deg, intensity 33.8, hkl 1 0 1
- 31.2 deg, intensity 28.9, hkl 1 1 0
- 36.0 deg, intensity 76.4, hkl 1 0 3
- 36.6 deg, intensity 100.0, hkl 1 1 2
- 44.6 deg, intensity 52.1, hkl 2 0 0
- 58.6 deg, intensity 37.6, hkl 2 1 3